No. 1
Starting from a cell relaxed with GGA-PBE, the powder X-ray diffraction pattern of Be5ZnRh4 was calculated for Cu Kα X-rays.
Lines closer than 0.1° are merged.

Most intense lines, 10 to 90 degrees two-theta, most intense first:
2θ (°), intensity
31.54, 100.0
46.22, 85.6
45.20, 46.4
32.90, 44.5
57.03, 36.0
84.20, 29.2
74.84, 15.7
75.59, 15.1
65.85, 14.7
77.83, 13.8
86.38, 13.2
68.99, 6.0

Cell and atoms:
```
data_Be5ZnRh4
_cell_length_a 2.837
_cell_length_b 2.837
_cell_length_c 13.612
_cell_angle_alpha 90.00
_cell_angle_beta 90.00
_cell_angle_gamma 90.00
_space_group_name_H-M_alt 'P 1'
_space_group_IT_number 1
loop_
_space_group_symop_operation_xyz
'x,y,z'
loop_
_atom_site_label
_atom_site_fract_x
_atom_site_fract_y
_atom_site_fract_z
Be1 0.000 0.000 0.000
Be2 0.000 0.000 0.198
Be3 0.000 0.000 0.385
Be4 0.000 0.000 0.615
Be5 0.000 0.000 0.802
Zn1 0.500 0.500 0.500
Rh1 0.500 0.500 0.101
Rh2 0.500 0.500 0.305
Rh3 0.500 0.500 0.695
Rh4 0.500 0.500 0.899
```


No. 2
Starting from a cell relaxed with GGA-PBE, the powder X-ray diffraction pattern of Be5Ru was calculated for Cu Kα X-rays.
Lines closer than 0.1° are merged.

Most intense lines, 10 to 90 degrees two-theta, most intense first:
2θ (°), intensity
16.95, 100.0
47.74, 52.4
30.45, 50.6
40.59, 46.7
31.37, 46.4
26.20, 37.1
39.17, 25.4
34.28, 19.7
43.65, 18.8
60.08, 13.1
63.19, 12.1
53.02, 10.3

Cell and atoms:
```
data_Be5Ru
_cell_length_a 3.059
_cell_length_b 10.463
_cell_length_c 3.401
_cell_angle_alpha 90.00
_cell_angle_beta 90.00
_cell_angle_gamma 90.00
_space_group_name_H-M_alt 'P 1'
_space_group_IT_number 1
loop_
_space_group_symop_operation_xyz
'x,y,z'
loop_
_atom_site_label
_atom_site_fract_x
_atom_site_fract_y
_atom_site_fract_z
Be1 0.000 0.000 0.000
Be2 0.000 0.173 0.500
Be3 0.000 0.328 0.000
Be4 0.000 0.672 0.000
Be5 0.000 0.827 0.500
Be6 0.500 0.172 0.000
Be7 0.500 0.327 0.500
Be8 0.500 0.500 0.000
Be9 0.500 0.673 0.500
Be10 0.500 0.828 0.000
Ru1 0.000 0.500 0.500
Ru2 0.500 0.000 0.500
```


No. 3
Starting from a cell relaxed with GGA-PBE, the powder X-ray diffraction pattern of Be5Ru was calculated for Cu Kα X-rays.
Lines closer than 0.1° are merged.

Most intense lines, 10 to 90 degrees two-theta, most intense first:
2θ (°), intensity
19.55, 100.0
23.76, 61.6
31.84, 60.8
25.02, 55.8
35.30, 45.4
47.15, 36.5
48.13, 34.3
39.86, 32.4
36.00, 22.0
45.95, 21.8
38.58, 17.8
39.70, 16.8

Cell and atoms:
```
data_Be5Ru
_cell_length_a 7.988
_cell_length_b 3.032
_cell_length_c 4.842
_cell_angle_alpha 90.00
_cell_angle_beta 110.33
_cell_angle_gamma 90.00
_space_group_name_H-M_alt 'P 1'
_space_group_IT_number 1
loop_
_space_group_symop_operation_xyz
'x,y,z'
loop_
_atom_site_label
_atom_site_fract_x
_atom_site_fract_y
_atom_site_fract_z
Be1 0.000 0.000 0.000
Be2 0.169 0.500 0.335
Be3 0.174 0.500 0.840
Be4 0.326 0.000 0.160
Be5 0.331 0.000 0.665
Be6 0.500 0.500 0.000
Be7 0.669 0.000 0.335
Be8 0.674 0.000 0.840
Be9 0.826 0.500 0.160
Be10 0.831 0.500 0.665
Ru1 0.000 0.000 0.500
Ru2 0.500 0.500 0.500
```


No. 4
Starting from a cell relaxed with GGA-PBE, the powder X-ray diffraction pattern of Be2Ru3 was calculated for Cu Kα X-rays.
Lines closer than 0.1° are merged.

Most intense lines, 10 to 90 degrees two-theta, most intense first:
2θ (°), intensity
44.27, 100.0
25.66, 90.8
43.65, 82.9
31.40, 82.4
43.52, 47.8
44.87, 38.1
41.11, 30.6
54.01, 29.5
46.44, 27.3
22.74, 21.6
73.04, 21.3
79.94, 21.2

Cell and atoms:
```
data_Be2Ru3
_cell_length_a 6.339
_cell_length_b 4.910
_cell_length_c 7.286
_cell_angle_alpha 58.85
_cell_angle_beta 41.52
_cell_angle_gamma 79.63
_space_group_name_H-M_alt 'P 1'
_space_group_IT_number 1
loop_
_space_group_symop_operation_xyz
'x,y,z'
loop_
_atom_site_label
_atom_site_fract_x
_atom_site_fract_y
_atom_site_fract_z
Be1 0.278 0.722 0.321
Be2 0.571 0.929 0.528
Be3 0.722 0.278 0.679
Be4 0.929 0.571 0.972
Ru1 0.114 0.806 0.090
Ru2 0.160 0.259 0.136
Ru3 0.259 0.160 0.444
Ru4 0.470 0.470 0.530
Ru5 0.720 0.720 0.780
Ru6 0.806 0.114 0.991
```


Number 4 is which compound? Be2Ru3